Theoretical X-ray powder pattern
Compound: MgZn2W2O8
Radiation: λ = 1.5418 Å (Cu Kα)
Structure: DFT lattice parameters and positions (PBE+U)
Neutral-atom scattering factors, no anomalous dispersion.

The 6 most intense peaks (15 to 90 degrees two-theta), by angle:
19.50°, I = 58; 26.75°, I = 100; 30.46°, I = 56; 33.97°, I = 30; 35.10°, I = 28; 37.03°, I = 63

Crystal structure
a b c (Å): 8.1367 8.1367 4.8353
angles (deg): 104.50 104.50 133.82
Fractional positions:
1 Mg 0.0000 0.0000 0.0000
2 Zn 0.3597 0.6403 0.5000
3 Zn 0.6460 0.3540 0.0000
4 W 0.1960 0.8040 0.0000
5 W 0.8306 0.1694 0.5000
6 O 0.0846 0.4782 0.0063
7 O 0.1025 0.2651 0.4164
8 O 0.3050 0.1055 0.9862
9 O 0.5001 0.0550 0.5109
10 O 0.5218 0.9154 0.9937
11 O 0.7349 0.8975 0.5836
12 O 0.8945 0.6950 0.0138
13 O 0.9450 0.4999 0.4891